# 1
Simulated PXRD pattern of ThGe4Os for Cu Ka, from DFT lattice parameters and positions (GGA-PBE).

The 8 most intense peaks (15 to 90 degrees two-theta), low angle first:
19.15 deg, d 4.634, I = 915; 21.79 deg, d 4.079, I = 489; 31.78 deg, d 2.815, I = 567; 34.18 deg, d 2.623, I = 546; 34.48 deg, d 2.601, I = 1000; 36.69 deg, d 2.449, I = 405; 38.87 deg, d 2.317, I = 400; 47.11 deg, d 1.929, I = 448

Structure:
```
data_ThGe4Os
_space_group_name_H-M_alt 'C 1 2/c 1'
_space_group_IT_number 15
_cell_length_a 10.0707
_cell_length_b 8.1580
_cell_length_c 6.2147
_cell_angle_alpha 90.00
_cell_angle_beta 98.96
_cell_angle_gamma 90.00
loop_
_space_group_symop_operation_xyz
'x,y,z'
'-x,-y,-z'
'-x,y,-z+1/2'
'x,-y,z+1/2'
'x+1/2,y+1/2,z'
'-x+1/2,-y+1/2,-z'
'-x+1/2,y+1/2,-z+1/2'
'x+1/2,-y+1/2,z+1/2'
loop_
_atom_site_label
_atom_site_fract_x
_atom_site_fract_y
_atom_site_fract_z
Th1 0.0000 0.1876 0.2500
Ge1 0.1291 0.4833 0.9984
Ge2 0.1383 0.1870 0.8196
Os1 0.2500 0.2500 0.5000
```

=====

# 2
Simulated PXRD pattern of Li2CePbCl8 for Cu Ka, from DFT lattice parameters and positions (GGA-PBE).

The 8 most intense peaks (15 to 90 degrees two-theta), low angle first:
17.36 deg, d 5.109, I = 1000; 21.20 deg, d 4.191, I = 628; 21.63 deg, d 4.109, I = 464; 25.00 deg, d 3.562, I = 698; 30.46 deg, d 2.935, I = 677; 30.76 deg, d 2.906, I = 639; 33.23 deg, d 2.696, I = 758; 46.25 deg, d 1.963, I = 419

Structure:
```
data_Li2CePbCl8
_space_group_name_H-M_alt 'P -1'
_space_group_IT_number 2
_cell_length_a 6.6167
_cell_length_b 6.9178
_cell_length_c 8.6285
_cell_angle_alpha 72.55
_cell_angle_beta 89.95
_cell_angle_gamma 79.24
loop_
_space_group_symop_operation_xyz
'x,y,z'
'-x,-y,-z'
loop_
_atom_site_label
_atom_site_fract_x
_atom_site_fract_y
_atom_site_fract_z
Li1 0.0415 0.1385 0.3267
Ce1 0.5000 0.5000 0.0000
Pb1 0.5000 0.5000 0.5000
Cl1 0.1112 0.7757 0.4494
Cl2 0.1434 0.7508 0.9343
Cl3 0.3671 0.2756 0.2828
Cl4 0.3823 0.2837 0.8242
```

=====

# 3
Simulated PXRD pattern of LiMg2H7Ru for Cu Ka, from DFT lattice parameters and positions (GGA-PBE).

The 8 most intense peaks (15 to 90 degrees two-theta), low angle first:
16.70 deg, d 5.309, I = 1000; 21.99 deg, d 4.042, I = 634; 27.74 deg, d 3.216, I = 723; 38.58 deg, d 2.334, I = 520; 40.66 deg, d 2.219, I = 471; 42.30 deg, d 2.136, I = 504; 52.17 deg, d 1.753, I = 190; 56.79 deg, d 1.621, I = 195

Structure:
```
data_LiMg2H7Ru
_space_group_name_H-M_alt 'P 63/m m c'
_space_group_IT_number 194
_space_group_name_Hall '-P 6c 2c'
_cell_length_a 4.6675
_cell_length_b 4.6675
_cell_length_c 10.6178
_cell_angle_alpha 90.00
_cell_angle_beta 90.00
_cell_angle_gamma 120.00
loop_
_atom_site_label
_atom_site_fract_x
_atom_site_fract_y
_atom_site_fract_z
Li1 0.0000 0.0000 0.2500
Mg1 0.3333 0.6667 0.0756
H1 0.1669 0.3338 0.5963
H2 0.3333 0.6667 0.2500
Ru1 0.0000 0.0000 0.0000
```